Diffraction record for DyGa2GeRu2. The XRD peak list is computed, not measured: it uses the GGA-PBE geometry in Alexandria and Cu Kα (λ = 1.5418 Å).

Structure:
Cell lengths 4.544, 4.544, 5.586 Å; angles 90.00, 90.00, 90.00 degrees
Space group P4/mmm (No. 123)
Symmetry-distinct sites (fractional):
Dy1 0.000 0.000 0.000
Ga1 0.500 0.500 0.231
Ge1 0.000 0.000 0.500
Ru1 0.000 0.500 0.500

Most intense lines, 2θ from 10° to 90°, most intense first:
32.12 deg, 2.787 Å, I 100; 39.67 deg, 2.272 Å, I 83; 37.81 deg, 2.380 Å, I 78; 55.96 deg, 1.643 Å, I 50; 67.26 deg, 1.392 Å, I 28; 57.36 deg, 1.606 Å, I 28

Diffraction record for Dy4GaGeSe2. The XRD peak list is computed, not measured: it uses the GGA-PBE geometry in Alexandria and Cu Kα (λ = 1.5418 Å).

Structure:
Cell lengths 5.820, 5.820, 11.694 Å; angles 90.00, 90.00, 90.00 degrees
Space group I-4m2 (No. 119)
Symmetry-distinct sites (fractional):
Dy1 0.000 0.000 0.248
Dy2 0.000 0.500 0.001
Ga1 0.000 0.000 0.500
Ge1 0.000 0.500 0.250
Se1 0.000 0.000 0.000
Se2 0.000 0.500 0.750

Most intense lines, 2θ from 10° to 90°, most intense first:
30.72 deg, 2.910 Å, I 100; 43.90 deg, 2.063 Å, I 75; 30.58 deg, 2.924 Å, I 51; 54.53 deg, 1.683 Å, I 39; 44.00 deg, 2.058 Å, I 37; 26.48 deg, 3.366 Å, I 35

Diffraction record for Dy2GaSnGe. The XRD peak list is computed, not measured: it uses the GGA-PBE geometry in Alexandria and Cu Kα (λ = 1.5418 Å).

Structure:
Cell lengths 6.351, 4.254, 8.651 Å; angles 90.00, 90.04, 90.00 degrees
Space group P2_1/m (No. 11)
Symmetry-distinct sites (fractional):
Dy1 0.246 0.250 0.467
Dy2 0.247 0.250 0.033
Ga1 0.449 0.750 0.250
Sn1 0.270 0.750 0.750
Ge1 0.054 0.750 0.250

Most intense lines, 2θ from 10° to 90°, most intense first:
32.72 deg, 2.737 Å, I 100; 36.82 deg, 2.441 Å, I 31; 42.50 deg, 2.127 Å, I 20; 28.10 deg, 3.176 Å, I 18; 65.21 deg, 1.431 Å, I 17; 35.05 deg, 2.560 Å, I 17

Diffraction record for Dy4Ga2H. The XRD peak list is computed, not measured: it uses the GGA-PBE geometry in Alexandria and Cu Kα (λ = 1.5418 Å).

Structure:
Cell lengths 6.091, 6.594, 8.655 Å; angles 90.00, 110.39, 90.00 degrees
Space group P2_1/m (No. 11)
Symmetry-distinct sites (fractional):
Dy1 0.176 0.250 0.080
Dy2 0.258 0.501 0.735
Dy3 0.300 0.750 0.374
Ga1 0.191 0.250 0.426
Ga2 0.349 0.750 0.043
H1 0.068 0.250 0.805

Most intense lines, 2θ from 10° to 90°, most intense first:
31.35 deg, 2.853 Å, I 100; 35.09 deg, 2.558 Å, I 68; 31.28 deg, 2.859 Å, I 31; 34.26 deg, 2.617 Å, I 30; 25.80 deg, 3.453 Å, I 24; 41.64 deg, 2.169 Å, I 22

Diffraction record for Dy2GaHPd6. The XRD peak list is computed, not measured: it uses the GGA-PBE geometry in Alexandria and Cu Kα (λ = 1.5418 Å).

Structure:
Cell lengths 5.681, 5.689, 6.823 Å; angles 65.47, 65.56, 60.11 degrees
Space group P-1 (No. 2)
Symmetry-distinct sites (fractional):
Dy1 0.224 0.225 0.327
Ga1 0.500 0.500 0.500
H1 0.000 0.000 0.000
Pd1 0.229 0.730 0.810
Pd2 0.230 0.229 0.807
Pd3 0.268 0.772 0.191

Most intense lines, 2θ from 10° to 90°, most intense first:
41.82 deg, 2.160 Å, I 100; 37.84 deg, 2.377 Å, I 80; 39.59 deg, 2.277 Å, I 40; 37.94 deg, 2.372 Å, I 40; 29.83 deg, 2.995 Å, I 36; 34.91 deg, 2.570 Å, I 31

Diffraction record for DyHfGa2Ni5. The XRD peak list is computed, not measured: it uses the GGA-PBE geometry in Alexandria and Cu Kα (λ = 1.5418 Å).

Structure:
Cell lengths 3.894, 3.894, 8.742 Å; angles 90.00, 90.00, 90.00 degrees
Space group P4/mmm (No. 123)
Symmetry-distinct sites (fractional):
Dy1 0.000 0.000 0.000
Hf1 0.000 0.000 0.500
Ga1 0.500 0.500 0.364
Ni1 0.000 0.500 0.220
Ni2 0.500 0.500 0.000

Most intense lines, 2θ from 10° to 90°, most intense first:
38.65 deg, 2.330 Å, I 100; 46.66 deg, 1.947 Å, I 44; 30.75 deg, 2.907 Å, I 36; 47.72 deg, 1.906 Å, I 22; 81.16 deg, 1.185 Å, I 21; 32.52 deg, 2.753 Å, I 15